Simulated powder X-ray diffraction pattern of AlTlFeH6 for CuKα, from a DFT-relaxed cell (GGA-PBE, OQMD).
Lines closer than 0.1° are merged.

Cell and atoms:
Lattice parameters (Å, degrees): 6.639 6.639 6.639 90.00 90.00 90.00
Space group F-43m (No. 216)
Inequivalent atoms, fractional coordinates:
Al  0.000  0.000  0.000 [4 per cell]
Tl  0.250  0.250  0.750 [4 per cell]
Fe  0.000  0.000  0.500 [4 per cell]
H  0.097  0.250  0.250 [24 per cell]

The 8 most intense peaks (15° ≤ 2θ ≤ 90°), sorted by position:
h k l  Position (°2θ)  intensity
1 1 1  23.2  100
2 0 0  26.9  19
2 2 0  38.3  89
3 1 1  45.3  56
3 3 1  60.8  24
4 2 2  69.3  30
3 3 3  74.2  18
5 3 1  86.8  18